Structure and simulated powder diffraction line list of Nd6In5Hg (a GGA-PBE-relaxed structure; λ = 1.5418 Å (Cu Kα)).
Lines closer than 0.1° are merged.

Structure:
```
Nd6In5Hg
1.0
5.486 0.000 0.000
0.000 7.740 0.000
-2.700 0.000 8.224
Nd In Hg
6 5 1
direct
0.000 0.247 0.000
0.000 0.753 0.000
0.334 0.249 0.669
0.334 0.751 0.669
0.666 0.249 0.331
0.666 0.751 0.331
0.166 0.000 0.332
0.167 0.500 0.334
0.500 0.500 0.000
0.833 0.500 0.666
0.834 0.000 0.668
0.500 0.000 0.000
```

Principal peaks in the range 10° ≤ 2θ ≤ 90°, low angle first:
two_theta  d (Å)  I/Imax
32.68  2.740  100
46.73  1.944  6
46.97  1.934  12
58.22  1.585  13
58.38  1.581  25
68.42  1.371  8
68.61  1.368  4
77.71  1.229  5
78.10  1.224  11
87.12  1.119  4



Structure and simulated powder diffraction line list of Nd3In2Hg4 (a GGA-PBE-relaxed structure; λ = 1.5418 Å (Cu Kα)).
Lines closer than 0.1° are merged.

Structure:
```
Nd3In2Hg4
1.0
5.687 -2.492 0.000
5.687 2.492 0.000
-4.238 0.000 8.442
Nd In Hg
3 2 4
direct
0.000 0.000 0.000
0.335 0.335 0.328
0.665 0.665 0.672
0.389 0.389 0.724
0.611 0.611 0.276
0.085 0.085 0.420
0.305 0.305 0.973
0.695 0.695 0.027
0.915 0.915 0.580
```

Principal peaks in the range 10° ≤ 2θ ≤ 90°, low angle first:
two_theta  d (Å)  I/Imax
31.87  2.808  100
31.94  2.802  49
35.87  2.504  97
36.04  2.492  48
48.79  1.867  22
48.89  1.863  17
61.98  1.497  15
62.23  1.492  15
62.70  1.482  19
64.70  1.441  19



Structure and simulated powder diffraction line list of Nd3InHg4 (a GGA-PBE-relaxed structure; λ = 1.5418 Å (Cu Kα)).
Lines closer than 0.1° are merged.

Structure:
```
Nd3InHg4
1.0
-1.907 4.677 6.565
1.907 -4.677 6.565
1.907 4.677 -6.565
Nd In Hg
3 1 4
direct
0.000 0.000 0.000
0.297 0.797 0.500
0.703 0.203 0.500
0.500 0.500 0.000
0.103 0.373 0.730
0.357 0.627 0.730
0.643 0.373 0.270
0.897 0.627 0.270
```

Principal peaks in the range 10° ≤ 2θ ≤ 90°, low angle first:
two_theta  d (Å)  I/Imax
24.30  3.663  34
28.70  3.111  57
31.02  2.883  92
33.35  2.687  100
36.69  2.450  70
38.50  2.338  40
39.78  2.266  23
41.76  2.163  30
47.69  1.907  29
59.43  1.555  39



Structure and simulated powder diffraction line list of Pm2NdIn3Hg6 (a GGA-PBE-relaxed structure; λ = 1.5418 Å (Cu Kα)).
Lines closer than 0.1° are merged.

Structure:
```
Pm2NdIn3Hg6
1.0
4.287 0.000 0.000
0.000 4.287 0.000
0.000 0.000 20.560
Pm Nd In Hg
2 1 3 6
direct
0.000 0.000 0.215
0.000 0.000 0.785
0.000 0.000 0.500
0.500 0.500 0.000
0.500 0.500 0.277
0.500 0.500 0.723
0.000 0.500 0.383
0.000 0.500 0.617
0.500 0.000 0.383
0.500 0.000 0.617
0.500 0.500 0.135
0.500 0.500 0.865
```

Principal peaks in the range 10° ≤ 2θ ≤ 90°, low angle first:
two_theta  d (Å)  I/Imax
21.17  4.197  52
29.79  2.999  94
32.29  2.772  84
34.35  2.611  93
34.91  2.570  38
36.84  2.440  48
37.10  2.423  95
42.16  2.143  100
55.85  1.646  40
57.40  1.605  53